# Ac3Y2Cd3
Calculated PXRD pattern, a wavelength of 1.5418 Å. Input: a structure optimized by DFT (PBE).
Lines closer than 0.1° are merged.

Structural model:
a = 3.951 Å, b = 5.774 Å, c = 23.436 Å
α = 90.00°, β = 90.00°, γ = 90.00°
Space group Immm (No. 71)
Unique sites:
Ac 0.000 0.000 0.000
Ac 0.000 0.500 0.125
Y 0.000 0.000 0.235
Cd 0.000 0.000 0.500
Cd 0.000 0.500 0.372

Most intense lines, 2θ from 10° to 90°, in order of rising 2θ:
d/Å	2theta	I/Imax
2.930	30.51	25
2.887	30.98	27
2.849	31.40	100
2.056	44.04	18
1.675	54.79	18
1.659	55.37	20
1.638	56.16	9
1.630	56.44	10
1.425	65.52	11
1.295	73.07	11

# Pm3PrSm3
Calculated PXRD pattern, a wavelength of 1.5418 Å. Input: a structure optimized by DFT (PBE).
Lines closer than 0.1° are merged.

Structural model:
a = 10.7572 Å, b = 10.7572 Å, c = 7.2587 Å
α = 90.00°, β = 90.00°, γ = 120.00°
Space group R3m (No. 160, hexagonal axes)
Unique sites:
Pm 0.1867 0.3734 0.0000
Pr 0.0000 0.0000 0.1477
Sm 0.2103 0.4206 0.4602

Most intense lines, 2θ from 10° to 90°, in order of rising 2θ:
d/Å	2theta	I/Imax
3.382	26.35	15
3.168	28.17	23
3.105	28.75	65
2.863	31.24	100
2.689	33.32	45
2.527	35.52	29
2.434	36.93	20
1.842	49.49	25
1.691	54.25	17
1.658	55.43	13

# Nd2SmY12
Calculated PXRD pattern, a wavelength of 1.5418 Å. Input: a structure optimized by DFT (PBE).
Lines closer than 0.1° are merged.

Structural model:
a = 7.090 Å, b = 11.431 Å, c = 24.958 Å
α = 90.00°, β = 90.00°, γ = 90.00°
Space group Cmme (No. 67)
Unique sites:
Nd 0.000 0.250 0.229
Nd 0.000 0.250 0.766
Sm 0.000 0.250 0.500
Y 0.000 0.001 0.577
Y 0.000 0.014 0.061
Y 0.239 0.250 0.916
Y 0.249 0.250 0.373
Y 0.250 0.000 0.172
Y 0.250 0.000 0.301

Most intense lines, 2θ from 10° to 90°, in order of rising 2θ:
d/Å	2theta	I/Imax
3.082	28.97	44
3.025	29.53	75
2.928	30.53	89
2.858	31.30	100
2.833	31.58	37
2.738	32.70	79
2.713	33.02	79
2.440	36.84	43
2.096	43.17	29
1.589	58.06	30

# MnAgPdPt2
Calculated PXRD pattern, a wavelength of 1.5418 Å. Input: a structure optimized by DFT (PBE).
Lines closer than 0.1° are merged.

Structural model:
a = 4.475 Å, b = 4.475 Å, c = 4.810 Å
α = 90.00°, β = 90.00°, γ = 90.00°
Space group P4/mmm (No. 123)
Unique sites:
Mn 0.000 0.000 0.000
Ag 0.000 0.000 0.500
Pd 0.500 0.500 0.500
Pt 0.000 0.500 0.000

Most intense lines, 2θ from 10° to 90°, in order of rising 2θ:
d/Å	2theta	I/Imax
4.810	18.45	17
2.644	33.91	100
2.405	37.39	28
2.238	40.30	45
2.029	44.66	8
1.638	56.14	34
1.582	58.31	15
1.430	65.24	15
1.358	69.20	26
1.322	71.35	16

# Ba2NpTe4
Calculated PXRD pattern, a wavelength of 1.5418 Å. Input: a structure optimized by DFT (PBE).
Lines closer than 0.1° are merged.

Structural model:
a = 8.668 Å, b = 13.738 Å, c = 4.838 Å
α = 90.00°, β = 90.00°, γ = 90.00°
Space group Pbam (No. 55)
Unique sites:
Ba 0.087 0.181 0.000
Np 0.000 0.500 0.500
Te 0.131 0.703 0.500
Te 0.218 0.448 0.000

Most intense lines, 2θ from 10° to 90°, in order of rising 2θ:
d/Å	2theta	I/Imax
7.331	12.07	61
4.042	21.99	100
3.193	27.94	49
3.143	28.40	80
2.922	30.60	68
2.664	33.64	26
2.419	37.17	39
2.303	39.11	47
2.181	41.40	26
2.067	43.80	23

# Dy2Be3Cu17
Calculated PXRD pattern, a wavelength of 1.5418 Å. Input: a structure optimized by DFT (PBE).
Lines closer than 0.1° are merged.

Structural model:
a = 8.9943 Å, b = 8.9943 Å, c = 12.7746 Å
α = 90.00°, β = 90.00°, γ = 120.00°
Space group R-3m (No. 166, hexagonal axes)
Unique sites:
Dy 0.0000 0.0000 0.1700
Be 0.0000 0.5000 0.5000
Cu 0.0000 0.0000 0.4030
Cu 0.0000 0.2702 0.5000
Cu 0.0000 0.5000 0.0000
Cu 0.0022 0.5011 0.6656

Most intense lines, 2θ from 10° to 90°, in order of rising 2θ:
d/Å	2theta	I/Imax
3.092	28.88	47
2.596	34.54	35
2.249	40.10	89
2.217	40.70	100
2.165	41.73	22
2.129	42.46	45
1.988	45.62	29
1.930	47.10	22
1.579	58.46	33
1.546	59.82	28

# Pr8Ir3SCl3
Calculated PXRD pattern, a wavelength of 1.5418 Å. Input: a structure optimized by DFT (PBE).
Lines closer than 0.1° are merged.

Structural model:
a = 8.4691 Å, b = 8.4691 Å, c = 21.2532 Å
α = 90.00°, β = 90.00°, γ = 120.00°
Space group R-3m (No. 166, hexagonal axes)
Unique sites:
Pr 0.0000 0.0000 0.2371
Pr 0.0171 0.5085 0.7600
Ir 0.0000 0.5000 0.5000
S 0.0000 0.0000 0.5000
Cl 0.0000 0.5000 0.0000

Most intense lines, 2θ from 10° to 90°, in order of rising 2θ:
d/Å	2theta	I/Imax
7.084	12.49	39
3.018	29.60	100
2.339	38.49	16
2.151	42.00	33
2.117	42.71	38
2.028	44.68	11
1.733	52.82	19
1.509	61.44	10
1.358	69.15	12
1.341	70.17	16

# Ce4P2SeS
Calculated PXRD pattern, a wavelength of 1.5418 Å. Input: a structure optimized by DFT (PBE).
Lines closer than 0.1° are merged.

Structural model:
a = 7.115 Å, b = 4.102 Å, c = 7.120 Å
α = 90.00°, β = 109.40°, γ = 90.00°
Space group P2/m (No. 10)
Unique sites:
Ce 0.241 0.000 0.239
Ce 0.247 0.500 0.757
P 0.000 0.500 0.000
P 0.500 0.000 0.000
Se 0.500 0.500 0.500
S 0.000 0.000 0.500

Most intense lines, 2θ from 10° to 90°, in order of rising 2θ:
d/Å	2theta	I/Imax
3.354	26.58	52
2.905	30.78	100
2.054	44.08	60
2.051	44.15	12
1.751	52.23	25
1.678	54.69	13
1.675	54.79	13
1.452	64.12	12
1.300	72.77	16
1.298	72.85	16

What did the first record say?
# Ac3Y2Cd3
Calculated PXRD pattern, a wavelength of 1.5418 Å. Input: a structure optimized by DFT (PBE).
Lines closer than 0.1° are merged.

Structural model:
a = 3.951 Å, b = 5.774 Å, c = 23.436 Å
α = 90.00°, β = 90.00°, γ = 90.00°
Space group Immm (No. 71)
Unique sites:
Ac 0.000 0.000 0.000
Ac 0.000 0.500 0.125
Y 0.000 0.000 0.235
Cd 0.000 0.000 0.500
Cd 0.000 0.500 0.372

Most intense lines, 2θ from 10° to 90°, in order of rising 2θ:
d/Å	2theta	I/Imax
2.930	30.51	25
2.887	30.98	27
2.849	31.40	100
2.056	44.04	18
1.675	54.79	18
1.659	55.37	20
1.638	56.16	9
1.630	56.44	10
1.425	65.52	11
1.295	73.07	11